Record 1
Starting from a cell relaxed with GGA-PBE, the powder diffraction line list of Ce2Sn2Rh7 was calculated for Cu Kα (weighted mean of Kα1 and Kα2).

Structure:
a = 5.6160 Å, b = 5.6160 Å, c = 7.2310 Å
α = 100.64°, β = 100.64°, γ = 75.65°
Fractional positions:
1 Ce 0.2383 0.2383 0.3691
2 Ce 0.7617 0.7617 0.6309
3 Sn 0.2634 0.7366 0.0000
4 Sn 0.7366 0.2634 0.0000
5 Rh 0.0000 0.0000 0.5000
6 Rh 0.0117 0.3985 0.7915
7 Rh 0.3985 0.0117 0.7915
8 Rh 0.4702 0.4702 0.6968
9 Rh 0.5298 0.5298 0.3032
10 Rh 0.6015 0.9883 0.2085
11 Rh 0.9883 0.6015 0.2085

Top 10 peaks for 2θ from 5° to 70°, in order of falling intensity:
d [Å], intensity
3.094, 100
2.155, 48
2.379, 47
2.764, 40
1.861, 29
2.458, 27
1.911, 25
2.043, 22
2.305, 22
2.080, 17

Record 2
Starting from a cell relaxed with GGA-PBE, the powder diffraction line list of Ce3SnRh6 was calculated for Cu Kα (weighted mean of Kα1 and Kα2).

Structure:
a = 9.5291 Å, b = 4.6857 Å, c = 9.7255 Å
α = 90.00°, β = 117.80°, γ = 90.00°
Fractional positions:
1 Ce 0.0272 0.2500 0.1934
2 Ce 0.2467 0.2500 0.7582
3 Ce 0.3018 0.7500 0.4887
4 Ce 0.6982 0.2500 0.5113
5 Ce 0.7533 0.7500 0.2418
6 Ce 0.9728 0.7500 0.8066
7 Sn 0.3624 0.7500 0.0326
8 Sn 0.6376 0.2500 0.9674
9 Rh 0.0069 0.7500 0.5710
10 Rh 0.1734 0.7500 0.1651
11 Rh 0.1750 0.2500 0.9850
12 Rh 0.3488 0.2500 0.3256
13 Rh 0.4706 0.2500 0.6547
14 Rh 0.4709 0.7500 0.8257
15 Rh 0.5291 0.2500 0.1743
16 Rh 0.5294 0.7500 0.3453
17 Rh 0.6512 0.7500 0.6744
18 Rh 0.8250 0.7500 0.0150
19 Rh 0.8266 0.2500 0.8349
20 Rh 0.9931 0.2500 0.4290

Top 10 peaks for 2θ from 5° to 70°, in order of falling intensity:
d [Å], intensity
2.343, 100
2.156, 82
2.662, 60
2.123, 54
2.607, 52
2.196, 43
2.678, 40
2.428, 38
1.686, 26
2.050, 22

Record 3
Starting from a cell relaxed with GGA-PBE, the powder diffraction line list of CeSn2Rh7 was calculated for Cu Kα (weighted mean of Kα1 and Kα2).

Structure:
a = 7.5511 Å, b = 7.5511 Å, c = 4.4854 Å
α = 90.00°, β = 90.00°, γ = 124.09°
Fractional positions:
1 Ce 0.0000 0.0000 0.0000
2 Sn 0.2938 0.7062 0.5000
3 Sn 0.7062 0.2938 0.5000
4 Rh 0.0822 0.2907 0.5000
5 Rh 0.1874 0.8126 0.0000
6 Rh 0.2907 0.0822 0.5000
7 Rh 0.5000 0.5000 0.5000
8 Rh 0.7093 0.9178 0.5000
9 Rh 0.8126 0.1874 0.0000
10 Rh 0.9178 0.7093 0.5000

Top 10 peaks for 2θ from 5° to 70°, in order of falling intensity:
d [Å], intensity
2.181, 100
2.063, 59
2.243, 48
4.485, 42
3.645, 39
2.427, 36
6.254, 33
1.647, 27
3.540, 21
1.883, 17

Record 4
Starting from a cell relaxed with GGA-PBE, the powder diffraction line list of TbCeRh was calculated for Cu Kα (weighted mean of Kα1 and Kα2).

Structure:
a = 4.5680 Å, b = 4.5680 Å, c = 4.0207 Å
α = 90.00°, β = 90.00°, γ = 120.00°
Fractional positions:
1 Tb 0.0000 0.0000 0.0000
2 Ce 0.6667 0.3333 0.4342
3 Rh 0.3333 0.6667 0.7178

Top 10 peaks for 2θ from 5° to 70°, in order of falling intensity:
d [Å], intensity
2.820, 100
2.284, 55
1.775, 26
1.401, 23
1.792, 22
1.410, 10
1.509, 5
3.956, 3
2.010, 2
4.021, 1

Record 5
Starting from a cell relaxed with GGA-PBE, the powder diffraction line list of Tb2Ce2Rh3 was calculated for Cu Kα (weighted mean of Kα1 and Kα2).

Structure:
a = 7.4978 Å, b = 7.4978 Å, c = 7.4978 Å
α = 109.47°, β = 109.47°, γ = 109.47°
Fractional positions:
1 Tb 0.0000 0.6180 0.5000
2 Tb 0.5000 0.0000 0.6180
3 Tb 0.6180 0.5000 0.0000
4 Tb 0.8820 0.8820 0.8820
5 Ce 0.0000 0.1171 0.5000
6 Ce 0.1171 0.5000 0.0000
7 Ce 0.3829 0.3829 0.3829
8 Ce 0.5000 0.0000 0.1171
9 Rh 0.1120 0.8620 0.2500
10 Rh 0.2500 0.1120 0.8620
11 Rh 0.3880 0.6380 0.7500
12 Rh 0.6380 0.7500 0.3880
13 Rh 0.7500 0.3880 0.6380
14 Rh 0.8620 0.2500 0.1120

Top 10 peaks for 2θ from 5° to 70°, in order of falling intensity:
d [Å], intensity
2.738, 100
2.314, 51
1.698, 32
1.404, 20
3.061, 16
1.767, 12
1.846, 11
1.369, 8
1.936, 8
1.581, 7

Record 6
Starting from a cell relaxed with GGA-PBE, the powder diffraction line list of Tb4CeRh3 was calculated for Cu Kα (weighted mean of Kα1 and Kα2).

Structure:
a = 8.4241 Å, b = 8.4241 Å, c = 8.4241 Å
α = 97.37°, β = 97.37°, γ = 138.03°
Fractional positions:
1 Tb 0.0838 0.7908 0.8747
2 Tb 0.2092 0.0838 0.2930
3 Tb 0.2908 0.5838 0.8747
4 Tb 0.4162 0.2908 0.7070
5 Tb 0.5838 0.7092 0.2930
6 Tb 0.7092 0.4162 0.1253
7 Tb 0.7908 0.9162 0.7070
8 Tb 0.9162 0.2092 0.1253
9 Ce 0.2500 0.7500 0.5000
10 Ce 0.7500 0.2500 0.5000
11 Rh 0.1556 0.3444 0.5000
12 Rh 0.2500 0.2500 0.0000
13 Rh 0.3444 0.8444 0.1887
14 Rh 0.6556 0.1556 0.8113
15 Rh 0.7500 0.7500 0.0000
16 Rh 0.8444 0.6556 0.5000

Top 10 peaks for 2θ from 5° to 70°, in order of falling intensity:
d [Å], intensity
2.463, 100
2.747, 77
2.487, 52
2.652, 45
2.394, 40
1.612, 34
3.017, 29
1.685, 18
1.573, 18
1.395, 18